Entry 1:
The following is a calculated X-ray diffraction stick pattern of NaTlZnTe2. It was derived from a GGA-PBE-relaxed structure, using λ = 1.5418 Å (Cu Kα).

Atomic structure:
```
data_NaTlZnTe2
_space_group_name_H-M_alt 'C 1 2/m 1'
_space_group_IT_number 12
_cell_length_a 16.5056
_cell_length_b 4.5815
_cell_length_c 11.1236
_cell_angle_alpha 90.00
_cell_angle_beta 126.39
_cell_angle_gamma 90.00
loop_
_space_group_symop_operation_xyz
'x,y,z'
'-x,-y,-z'
'-x,y,-z'
'x,-y,z'
'x+1/2,y+1/2,z'
'-x+1/2,-y+1/2,-z'
'-x+1/2,y+1/2,-z'
'x+1/2,-y+1/2,z'
loop_
_atom_site_label
_atom_site_type_symbol
_atom_site_fract_x
_atom_site_fract_y
_atom_site_fract_z
Na1 Na 0.1383 0.0000 0.3677
Tl1 Tl 0.2181 0.5000 0.1557
Zn1 Zn 0.0503 0.5000 0.6920
Te1 Te 0.0916 0.0000 0.8573
Te2 Te 0.1460 0.5000 0.5595
```

Main lines, in order of rising 2θ (10° ≤ 2θ ≤ 90°):
d 8.116, intensity 59, (2 0 -1); d 4.058, intensity 64, (4 0 -2); d 3.633, intensity 63, (1 1 1); d 3.466, intensity 100, (1 1 -2); d 2.850, intensity 51, (1 1 2); d 2.731, intensity 25, (6 0 -2); d 2.646, intensity 31, (4 0 1); d 2.566, intensity 30, (5 1 -1); d 2.298, intensity 87, (5 1 -4); d 2.291, intensity 37, (0 2 0)

***

Entry 2:
The following is a calculated X-ray diffraction stick pattern of NaTm5Te8. It was derived from a GGA-PBE-relaxed structure, using λ = 1.5418 Å (Cu Kα).

Atomic structure:
```
data_NaTm5Te8
_space_group_name_H-M_alt 'F -4 3 m'
_space_group_IT_number 216
_space_group_name_Hall 'F -4 2 3'
_cell_length_a 12.7247
_cell_length_b 12.7247
_cell_length_c 12.7247
_cell_angle_alpha 90.00
_cell_angle_beta 90.00
_cell_angle_gamma 90.00
loop_
_atom_site_label
_atom_site_type_symbol
_atom_site_fract_x
_atom_site_fract_y
_atom_site_fract_z
Na1 Na 0.0000 0.0000 0.0000
Tm1 Tm 0.1306 0.1306 0.3694
Tm2 Tm 0.2500 0.2500 0.7500
Te1 Te 0.1164 0.1164 0.6164
Te2 Te 0.1339 0.1339 0.1339
```

Main lines, in order of rising 2θ (10° ≤ 2θ ≤ 90°):
d 7.347, intensity 32, (1 1 1); d 3.837, intensity 52, (3 1 1); d 3.181, intensity 84, (4 0 0); d 2.449, intensity 38, (5 1 1); d 2.249, intensity 100, (4 4 0); d 1.837, intensity 21, (4 4 4); d 1.591, intensity 16, (8 0 0); d 1.423, intensity 25, (8 4 0); d 1.299, intensity 30, (8 4 4); d 1.230, intensity 14, (9 5 1)

***

Entry 3:
The following is a calculated X-ray diffraction stick pattern of NaTm6Te8. It was derived from a GGA-PBE-relaxed structure, using λ = 1.5418 Å (Cu Kα).

Atomic structure:
```
data_NaTm6Te8
_space_group_name_H-M_alt 'F m -3 m'
_space_group_IT_number 225
_space_group_name_Hall '-F 4 2 3'
_cell_length_a 12.1633
_cell_length_b 12.1633
_cell_length_c 12.1633
_cell_angle_alpha 90.00
_cell_angle_beta 90.00
_cell_angle_gamma 90.00
loop_
_atom_site_label
_atom_site_type_symbol
_atom_site_fract_x
_atom_site_fract_y
_atom_site_fract_z
Na1 Na 0.0000 0.0000 0.0000
Tm1 Tm 0.0000 0.2500 0.2500
Te1 Te 0.0000 0.0000 0.2580
Te2 Te 0.2500 0.2500 0.2500
```

Main lines, in order of rising 2θ (10° ≤ 2θ ≤ 90°):
d 6.082, intensity 12, (2 0 0); d 4.300, intensity 11, (2 2 0); d 3.041, intensity 100, (4 0 0); d 2.720, intensity 7, (4 2 0); d 2.483, intensity 6, (4 2 2); d 2.150, intensity 75, (4 4 0); d 1.756, intensity 27, (4 4 4); d 1.520, intensity 12, (8 0 0); d 1.360, intensity 34, (8 4 0); d 1.241, intensity 25, (8 4 4)

***

Entry 4:
The following is a calculated X-ray diffraction stick pattern of Na5UTe6. It was derived from a GGA-PBE-relaxed structure, using λ = 1.5418 Å (Cu Kα).

Atomic structure:
```
data_Na5UTe6
_space_group_name_H-M_alt 'C 1 2/m 1'
_space_group_IT_number 12
_cell_length_a 7.8734
_cell_length_b 13.7213
_cell_length_c 7.7345
_cell_angle_alpha 90.00
_cell_angle_beta 110.50
_cell_angle_gamma 90.00
loop_
_space_group_symop_operation_xyz
'x,y,z'
'-x,-y,-z'
'-x,y,-z'
'x,-y,z'
'x+1/2,y+1/2,z'
'-x+1/2,-y+1/2,-z'
'-x+1/2,y+1/2,-z'
'x+1/2,-y+1/2,z'
loop_
_atom_site_label
_atom_site_type_symbol
_atom_site_fract_x
_atom_site_fract_y
_atom_site_fract_z
Na1 Na 0.0000 0.0000 0.0000
Na2 Na 0.0000 0.1663 0.5000
Na3 Na 0.0000 0.3228 0.0000
U1 U 0.0000 0.5000 0.5000
Te1 Te 0.2231 0.5000 0.2660
Te2 Te 0.2315 0.3468 0.7348
```

Main lines, in order of rising 2θ (10° ≤ 2θ ≤ 90°):
d 7.245, intensity 22, (0 0 1); d 6.861, intensity 19, (0 2 0); d 6.496, intensity 34, (1 1 0); d 5.808, intensity 22, (1 1 -1); d 3.205, intensity 51, (2 0 -2); d 3.189, intensity 100, (1 3 1); d 2.287, intensity 19, (0 6 0); d 2.276, intensity 37, (3 3 -1); d 2.245, intensity 36, (1 3 -3); d 1.862, intensity 18, (2 6 -2)

***

Entry 5:
The following is a calculated X-ray diffraction stick pattern of NaUTe4. It was derived from a GGA-PBE-relaxed structure, using λ = 1.5418 Å (Cu Kα).

Atomic structure:
```
data_NaUTe4
_space_group_name_H-M_alt 'P 4/n b m'
_space_group_IT_number 125
_cell_length_a 6.8305
_cell_length_b 6.8305
_cell_length_c 8.0884
_cell_angle_alpha 90.00
_cell_angle_beta 90.00
_cell_angle_gamma 90.00
loop_
_space_group_symop_operation_xyz
'x,y,z'
'-x,-y,-z'
'-y+1/2,x,z'
'y+1/2,-x,-z'
'-x+1/2,-y+1/2,z'
'x+1/2,y+1/2,-z'
'y,-x+1/2,z'
'-y,x+1/2,-z'
'x,-y+1/2,-z'
'-x,y+1/2,z'
'-y+1/2,-x+1/2,-z'
'y+1/2,x+1/2,z'
'-x+1/2,y,-z'
'x+1/2,-y,z'
'y,x,-z'
'-y,-x,z'
loop_
_atom_site_label
_atom_site_type_symbol
_atom_site_fract_x
_atom_site_fract_y
_atom_site_fract_z
Na1 Na 0.2500 0.2500 0.0000
U1 U 0.2500 0.2500 0.5000
Te1 Te 0.0982 0.5982 0.2743
```

Main lines, in order of rising 2θ (10° ≤ 2θ ≤ 90°):
d 8.088, intensity 75, (0 0 1); d 4.147, intensity 27, (1 1 1); d 3.101, intensity 73, (1 1 2); d 2.858, intensity 100, (2 1 1); d 2.609, intensity 46, (2 0 2); d 2.160, intensity 44, (3 1 0); d 2.022, intensity 44, (0 0 4); d 1.573, intensity 23, (4 0 2); d 1.496, intensity 23, (3 3 2); d 1.476, intensity 22, (3 1 4)

***

Entry 6:
The following is a calculated X-ray diffraction stick pattern of NaV5Te8. It was derived from a GGA-PBE-relaxed structure, using λ = 1.5418 Å (Cu Kα).

Atomic structure:
```
data_NaV5Te8
_space_group_name_H-M_alt 'C 1 m 1'
_space_group_IT_number 8
_cell_length_a 20.6265
_cell_length_b 3.9456
_cell_length_c 9.3713
_cell_angle_alpha 90.00
_cell_angle_beta 106.14
_cell_angle_gamma 90.00
loop_
_space_group_symop_operation_xyz
'x,y,z'
'x,-y,z'
'x+1/2,y+1/2,z'
'x+1/2,-y+1/2,z'
loop_
_atom_site_label
_atom_site_type_symbol
_atom_site_fract_x
_atom_site_fract_y
_atom_site_fract_z
Na1 Na 0.0000 0.0000 0.0000
V1 V 0.1276 0.0000 0.4715
V2 V 0.1758 0.0000 0.8192
V3 V 0.2552 0.5000 0.1342
V4 V 0.3236 0.5000 0.5011
V5 V 0.4583 0.0000 0.4883
Te1 Te 0.0414 0.0000 0.6420
Te2 Te 0.0491 0.5000 0.3022
Te3 Te 0.1286 0.5000 0.9718
Te4 Te 0.2133 0.5000 0.6419
Te5 Te 0.2326 0.0000 0.3309
Te6 Te 0.3027 0.0000 0.9892
Te7 Te 0.3884 0.0000 0.6915
Te8 Te 0.3941 0.5000 0.3011
```

Main lines, in order of rising 2θ (10° ≤ 2θ ≤ 90°):
d 7.834, intensity 19, (2 0 -1); d 3.106, intensity 46, (6 0 -2); d 3.031, intensity 100, (3 1 1); d 3.001, intensity 29, (0 0 3); d 2.913, intensity 64, (3 1 -2); d 2.854, intensity 23, (6 0 1); d 2.537, intensity 24, (3 1 2); d 2.424, intensity 28, (3 1 -3); d 1.981, intensity 48, (9 1 -1); d 1.973, intensity 28, (0 2 0)

***

Entry 7:
The following is a calculated X-ray diffraction stick pattern of Na5Zn2Te5. It was derived from a GGA-PBE-relaxed structure, using λ = 1.5418 Å (Cu Kα).

Atomic structure:
```
data_Na5Zn2Te5
_space_group_name_H-M_alt 'I 4 m m'
_space_group_IT_number 107
_space_group_name_Hall 'I 4 -2'
_cell_length_a 10.2922
_cell_length_b 10.2922
_cell_length_c 7.1412
_cell_angle_alpha 90.00
_cell_angle_beta 90.00
_cell_angle_gamma 90.00
loop_
_atom_site_label
_atom_site_type_symbol
_atom_site_fract_x
_atom_site_fract_y
_atom_site_fract_z
Na1 Na 0.0000 0.0000 0.0000
Na2 Na 0.2022 0.2022 0.4239
Zn1 Zn 0.0000 0.5000 0.3402
Te1 Te 0.0000 0.0000 0.5604
Te2 Te 0.0000 0.3056 0.0911
```

Main lines, in order of rising 2θ (10° ≤ 2θ ≤ 90°):
d 7.278, intensity 19, (1 1 0); d 5.146, intensity 27, (2 0 0); d 3.869, intensity 100, (2 1 1); d 3.092, intensity 35, (3 0 1); d 2.573, intensity 25, (4 0 0); d 2.549, intensity 25, (2 2 2); d 2.405, intensity 36, (3 1 2); d 2.114, intensity 24, (2 1 3); d 2.007, intensity 28, (3 3 2); d 1.846, intensity 24, (5 2 1)

***

Entry 8:
The following is a calculated X-ray diffraction stick pattern of NaThTl2. It was derived from a GGA-PBE-relaxed structure, using λ = 1.5418 Å (Cu Kα).

Atomic structure:
```
data_NaThTl2
_space_group_name_H-M_alt 'P 4/m m m'
_space_group_IT_number 123
_space_group_name_Hall '-P 4 2'
_cell_length_a 3.6490
_cell_length_b 3.6490
_cell_length_c 8.5027
_cell_angle_alpha 90.00
_cell_angle_beta 90.00
_cell_angle_gamma 90.00
loop_
_atom_site_label
_atom_site_type_symbol
_atom_site_fract_x
_atom_site_fract_y
_atom_site_fract_z
Na1 Na 0.0000 0.0000 0.0000
Th1 Th 0.0000 0.0000 0.5000
Tl1 Tl 0.5000 0.5000 0.2378
```

Main lines, in order of rising 2θ (10° ≤ 2θ ≤ 90°):
d 8.503, intensity 23, (0 0 1); d 3.353, intensity 21, (1 0 1); d 2.769, intensity 100, (1 0 2); d 2.580, intensity 42, (1 1 0); d 2.126, intensity 11, (0 0 4); d 1.824, intensity 15, (2 0 0); d 1.641, intensity 21, (1 1 4); d 1.523, intensity 34, (2 1 2); d 1.384, intensity 12, (2 0 4); d 1.321, intensity 9, (1 0 6)

***

What did the seventh record say?
The following is a calculated X-ray diffraction stick pattern of Na5Zn2Te5. It was derived from a GGA-PBE-relaxed structure, using λ = 1.5418 Å (Cu Kα).

Atomic structure:
```
data_Na5Zn2Te5
_space_group_name_H-M_alt 'I 4 m m'
_space_group_IT_number 107
_space_group_name_Hall 'I 4 -2'
_cell_length_a 10.2922
_cell_length_b 10.2922
_cell_length_c 7.1412
_cell_angle_alpha 90.00
_cell_angle_beta 90.00
_cell_angle_gamma 90.00
loop_
_atom_site_label
_atom_site_type_symbol
_atom_site_fract_x
_atom_site_fract_y
_atom_site_fract_z
Na1 Na 0.0000 0.0000 0.0000
Na2 Na 0.2022 0.2022 0.4239
Zn1 Zn 0.0000 0.5000 0.3402
Te1 Te 0.0000 0.0000 0.5604
Te2 Te 0.0000 0.3056 0.0911
```

Main lines, in order of rising 2θ (10° ≤ 2θ ≤ 90°):
d 7.278, intensity 19, (1 1 0); d 5.146, intensity 27, (2 0 0); d 3.869, intensity 100, (2 1 1); d 3.092, intensity 35, (3 0 1); d 2.573, intensity 25, (4 0 0); d 2.549, intensity 25, (2 2 2); d 2.405, intensity 36, (3 1 2); d 2.114, intensity 24, (2 1 3); d 2.007, intensity 28, (3 3 2); d 1.846, intensity 24, (5 2 1)